1.
# HoSnAu2
Calculated XRD peak list, Cu Kα X-rays. Input: DFT lattice parameters and positions (PBE).

abc: 7.035 7.035 7.035
angles: 90.00 90.00 90.00
Space group Fm-3m (No. 225)
One atom of each set of equivalent atoms:
Ho (0.000, 0.000, 0.000) x4
Sn (0.000, 0.000, 0.500) x4
Au (0.250, 0.250, 0.250) x8

Largest 10 diffraction maxima, low angle first, 2θ = 10–90°:
two_theta, d_spacing, I_rel, hkl
21.9, 4.062, 0.9, 1 1 1
25.3, 3.518, 3.2, 2 0 0
36.1, 2.487, 100.0, 2 2 0
44.6, 2.031, 1.0, 2 2 2
52.0, 1.759, 17.9, 4 0 0
58.7, 1.573, 1.4, 4 2 0
64.9, 1.436, 37.1, 4 2 2
76.6, 1.244, 11.7, 4 4 0
82.2, 1.173, 0.7, 6 0 0
87.7, 1.112, 17.4, 6 2 0

***

2.
# MgTe2Mo2W2Se4S2
Calculated XRD peak list, Cu Kα X-rays. Input: DFT lattice parameters and positions (PBE).

abc: 3.3369 3.3369 47.1365
angles: 90.00 90.00 120.00
Space group P3m1 (No. 156)
One atom of each set of equivalent atoms:
Mg (0.0000, 0.0000, 0.0000) x1
Te (0.3333, 0.6667, 0.0636) x1
Te (0.3333, 0.6667, 0.1446) x1
Mo (0.3333, 0.6667, 0.5338) x1
Mo (0.6667, 0.3333, 0.1043) x1
W (0.3333, 0.6667, 0.8999) x1
W (0.6667, 0.3333, 0.7217) x1
Se (0.3333, 0.6667, 0.6861) x1
Se (0.3333, 0.6667, 0.7573) x1
Se (0.6667, 0.3333, 0.4984) x1
Se (0.6667, 0.3333, 0.5692) x1
S (0.6667, 0.3333, 0.8676) x1
S (0.6667, 0.3333, 0.9323) x1

Largest 10 diffraction maxima, low angle first, 2θ = 10–90°:
two_theta, d_spacing, I_rel, hkl
11.3, 7.856, 93.3, 0 0 6
31.0, 2.888, 65.0, 1 0 0
32.4, 2.763, 35.1, 0 1 5
34.6, 2.595, 70.3, 1 0 8
37.5, 2.396, 25.5, 0 1 11
39.9, 2.260, 100.0, 1 0 13
41.2, 2.193, 27.8, 0 1 14
48.3, 1.883, 20.5, 1 0 19
55.0, 1.668, 42.5, 1 1 0
56.0, 1.643, 23.7, 1 1 5